This entry pairs a crystal structure of SrDyPtO4 with its computed powder X-ray diffraction pattern. Radiation: Cu Kα X-rays. Structure: the GGA-PBE geometry in Alexandria.
Neutral-atom scattering factors, no anomalous dispersion.

Most intense lines, 2θ from 10° to 90°, in order of falling intensity:
31.1°, I = 100, hkl 2 1 1; 31.6°, I = 81, hkl 0 2 2; 37.3°, I = 81, hkl 0 0 4; 53.7°, I = 79, hkl 2 2 4; 30.3°, I = 77, hkl 1 2 1; 15.7°, I = 74, hkl 0 1 1; 16.2°, I = 56, hkl 1 0 1; 30.6°, I = 54, hkl 0 1 3; 32.7°, I = 52, hkl 2 0 2; 30.9°, I = 51, hkl 1 0 3

Crystal structure
```
data_SrDyPtO4
_chemical_formula_sum 'Sr4 Dy4 Pt4 O16'
_cell_length_a 6.6657
_cell_length_b 6.9908
_cell_length_c 9.6486
_cell_angle_alpha 90.00
_cell_angle_beta 90.00
_cell_angle_gamma 90.00
_symmetry_space_group_name_H-M 'I m m a'
_symmetry_Int_Tables_number 74
_symmetry_space_group_name_Hall '-I 2b 2'
loop_
_atom_site_label
_atom_site_fract_x
_atom_site_fract_y
_atom_site_fract_z
_atom_site_occupancy
Sr1 0.0000 0.2500 0.1464 1
Dy1 0.0000 0.0000 0.5000 1
Pt1 0.2500 0.2500 0.7500 1
O1 0.0000 0.0663 0.7388 1
O2 0.2116 0.2500 0.4830 1
```